[1]
Diffraction record for Th5GeSe5. The powder diffractogram is simulated, not measured: it uses a crystal structure in Alexandria, relaxed with PBE and Cu Ka.
No peak broadening, texture or thermal motion is included.

Cell and atoms:
```
data_Th5GeSe5
_cell_length_a 13.269
_cell_length_b 5.944
_cell_length_c 8.394
_cell_angle_alpha 90.00
_cell_angle_beta 108.28
_cell_angle_gamma 90.00
_symmetry_space_group_name_H-M 'C 1 2/m 1'
_symmetry_Int_Tables_number 12
loop_
_symmetry_equiv_pos_as_xyz
'x,y,z'
'-x,-y,-z'
'-x,y,-z'
'x,-y,z'
'x+1/2,y+1/2,z'
'-x+1/2,-y+1/2,-z'
'-x+1/2,y+1/2,-z'
'x+1/2,-y+1/2,z'
loop_
_atom_site_label
_atom_site_type_symbol
_atom_site_fract_x
_atom_site_fract_y
_atom_site_fract_z
Th1 Th 0.000 0.000 0.000
Th2 Th 0.163 0.500 0.329
Th3 Th 0.167 0.500 0.837
Ge1 Ge 0.000 0.500 0.000
Se1 Se 0.000 0.500 0.500
Se2 Se 0.160 0.000 0.819
Se3 Se 0.162 0.000 0.341
```

Top 10 peaks for 2θ from 5° to 70°, low angle first:
| d/Å | I (rel.) |
| --- | --- |
| 7.971 | 6 |
| 5.376 | 5 |
| 3.429 | 31 |
| 2.970 | 100 |
| 2.100 | 76 |
| 1.792 | 11 |
| 1.789 | 5 |
| 1.715 | 27 |
| 1.486 | 8 |
| 1.363 | 5 |



[2]
Diffraction record for Y5Pb4. The powder diffractogram is simulated, not measured: it uses a crystal structure in Alexandria, relaxed with PBE and Cu Ka.
No peak broadening, texture or thermal motion is included.

Cell and atoms:
```
data_Y5Pb4
_cell_length_a 8.217
_cell_length_b 15.668
_cell_length_c 8.292
_cell_angle_alpha 90.00
_cell_angle_beta 90.00
_cell_angle_gamma 90.00
_symmetry_space_group_name_H-M 'P n m a'
_symmetry_Int_Tables_number 62
loop_
_symmetry_equiv_pos_as_xyz
'x,y,z'
'-x,-y,-z'
'-x+1/2,-y,z+1/2'
'x+1/2,y,-z+1/2'
'x+1/2,-y+1/2,-z+1/2'
'-x+1/2,y+1/2,z+1/2'
'-x,y+1/2,-z'
'x,-y+1/2,z'
loop_
_atom_site_label
_atom_site_type_symbol
_atom_site_fract_x
_atom_site_fract_y
_atom_site_fract_z
Y1 Y 0.036 0.099 0.176
Y2 Y 0.124 0.621 0.343
Y3 Y 0.209 0.250 0.504
Pb1 Pb 0.071 0.250 0.876
Pb2 Pb 0.152 0.750 0.653
Pb3 Pb 0.218 0.043 0.534
```

Top 10 peaks for 2θ from 5° to 70°, low angle first:
| d/Å | I (rel.) |
| --- | --- |
| 3.892 | 49 |
| 3.020 | 100 |
| 3.009 | 39 |
| 2.918 | 38 |
| 2.684 | 74 |
| 2.601 | 36 |
| 2.584 | 57 |
| 2.090 | 37 |
| 2.010 | 36 |
| 2.002 | 41 |



[3]
Diffraction record for Sr2SnS4. The powder diffractogram is simulated, not measured: it uses a crystal structure in Alexandria, relaxed with PBE and Cu Ka.
No peak broadening, texture or thermal motion is included.

Cell and atoms:
```
data_Sr2SnS4
_cell_length_a 7.052
_cell_length_b 7.002
_cell_length_c 8.277
_cell_angle_alpha 90.00
_cell_angle_beta 107.61
_cell_angle_gamma 90.00
_symmetry_space_group_name_H-M 'P 1 21/m 1'
_symmetry_Int_Tables_number 11
loop_
_symmetry_equiv_pos_as_xyz
'x,y,z'
'-x,-y,-z'
'-x,y+1/2,-z'
'x,-y+1/2,z'
loop_
_atom_site_label
_atom_site_type_symbol
_atom_site_fract_x
_atom_site_fract_y
_atom_site_fract_z
Sr1 Sr 0.217 0.250 0.056
Sr2 Sr 0.245 0.250 0.560
Sn1 Sn 0.248 0.750 0.808
S1 S 0.007 0.007 0.746
S2 S 0.442 0.750 0.100
S3 S 0.442 0.750 0.618
```

Top 10 peaks for 2θ from 5° to 70°, low angle first:
| d/Å | I (rel.) |
| --- | --- |
| 6.109 | 47 |
| 5.237 | 69 |
| 4.490 | 34 |
| 3.501 | 97 |
| 3.451 | 39 |
| 3.437 | 35 |
| 2.800 | 98 |
| 2.778 | 100 |
| 2.425 | 76 |
| 2.069 | 45 |



[4]
Diffraction record for Ac3La8Ho. The powder diffractogram is simulated, not measured: it uses a crystal structure in Alexandria, relaxed with PBE and Cu Ka.
No peak broadening, texture or thermal motion is included.

Cell and atoms:
```
data_Ac3La8Ho
_cell_length_a 6.899
_cell_length_b 11.835
_cell_length_c 11.889
_cell_angle_alpha 90.00
_cell_angle_beta 90.00
_cell_angle_gamma 90.00
_symmetry_space_group_name_H-M 'I m m m'
_symmetry_Int_Tables_number 71
_symmetry_space_group_name_Hall '-I 2 2'
loop_
_atom_site_label
_atom_site_type_symbol
_atom_site_fract_x
_atom_site_fract_y
_atom_site_fract_z
Ac1 Ac 0.000 0.000 0.000
Ac2 Ac 0.000 0.244 0.500
La1 La 0.000 0.256 0.172
La2 La 0.222 0.000 0.276
Ho1 Ho 0.000 0.500 0.000
```

Top 10 peaks for 2θ from 5° to 70°, low angle first:
| d/Å | I (rel.) |
| --- | --- |
| 4.201 | 35 |
| 3.443 | 22 |
| 2.982 | 50 |
| 2.972 | 100 |
| 2.959 | 39 |
| 2.664 | 18 |
| 2.101 | 21 |
| 1.885 | 19 |
| 1.711 | 17 |
| 1.486 | 17 |